Simulated powder X-ray diffraction pattern of MgSc3 for copper Kα, from a structure optimized by DFT (GGA-PBE).
Lines closer than 0.1° are merged.

Peak list (6 most intense, 2θ from 10° to 90°, sorted by position)
Position (°2θ)	Rel. int.
33.7	34
33.8	100
39.2	65
56.6	20
56.8	20
67.7	33

Unit cell a=3.2428 b=3.2428 c=31.9100 alpha=90.00 beta=90.00 gamma=120.00
Fractional coordinates of all 12 atoms:
Mg  0.0000  0.0000  0.0000
Mg  0.3333  0.6667  0.6667
Mg  0.6667  0.3333  0.3333
Sc  0.0000  0.0000  0.2495
Sc  0.0000  0.0000  0.5000
Sc  0.0000  0.0000  0.7505
Sc  0.3333  0.6667  0.1667
Sc  0.3333  0.6667  0.4172
Sc  0.3333  0.6667  0.9162
Sc  0.6667  0.3333  0.0838
Sc  0.6667  0.3333  0.5828
Sc  0.6667  0.3333  0.8333